Structure and theoretical X-ray diffraction stick pattern of NdEr2WO8 (a crystal structure in Alexandria, relaxed with GGA+U; Cu Kα, 1.54184 Å).
Lines closer than 0.1° are merged.

Cell and atoms:
```
NdEr2WO8
1.0
3.5351 -3.5672 0.0000
3.5351 3.5672 0.0000
0.0000 0.0000 6.9541
Nd Er W O
1 2 1 8
Direct
0.0000 0.0000 0.0000
0.5000 0.5000 0.2595
0.5000 0.5000 0.7405
0.0000 0.0000 0.5000
0.1861 0.8139 0.2937
0.1861 0.8139 0.7063
0.2786 0.2786 0.5000
0.3202 0.3202 0.0000
0.6798 0.6798 0.0000
0.7214 0.7214 0.5000
0.8139 0.1861 0.2937
0.8139 0.1861 0.7063
```

Top 6 peaks for 2θ = 15–90°, in order of falling intensity:
| 2theta | d (Å) | Rel. int. |
| --- | --- | --- |
| 31.29 | 2.859 | 100.0 |
| 24.96 | 3.567 | 54.9 |
| 25.19 | 3.535 | 52.6 |
| 48.11 | 1.891 | 38.3 |
| 48.37 | 1.882 | 37.1 |
| 35.76 | 2.511 | 29.3 |